This entry pairs a crystal structure of OsICl4 with its simulated powder diffractogram. Radiation: Cu Ka. Structure: DFT lattice parameters and positions (GGA-PBE).
Neutral-atom scattering factors, no anomalous dispersion.

Structural model:
```
OsICl4
1.0
7.132 0.000 0.000
0.000 7.133 0.000
-3.564 -3.543 5.300
Os I Cl
1 1 4
Cartesian
0.000 0.000 0.000
3.567 0.010 2.650
1.582 5.528 0.005
-1.960 -1.961 5.295
1.963 2.007 5.295
5.550 1.605 0.005
```

Largest 8 diffraction maxima, by angle, 2θ = 15–90°:
- 2θ 15.0, intensity 47
- 2θ 16.7, intensity 28
- 2θ 24.4, intensity 100
- 2θ 28.2, intensity 42
- 2θ 29.2, intensity 54
- 2θ 35.6, intensity 36
- 2θ 43.6, intensity 29
- 2θ 46.7, intensity 27

=====

This entry pairs a crystal structure of PICl8 with its simulated powder diffractogram. Radiation: Cu Ka. Structure: DFT lattice parameters and positions (GGA-PBE).
Neutral-atom scattering factors, no anomalous dispersion.

Structural model:
```
PICl8
1.0
-6.511 8.375 6.427
6.511 -8.375 6.427
6.511 8.375 -6.427
P I Cl
4 4 32
Cartesian
3.255 8.532 -3.214
3.255 0.158 3.214
-3.255 8.217 3.214
3.255 8.217 3.214
6.511 4.187 -0.785
0.000 4.187 0.510
6.511 4.187 5.917
0.000 4.187 7.213
6.511 -4.187 3.284
6.511 1.652 -0.749
2.259 -0.974 1.958
10.762 -0.974 1.958
0.000 1.651 0.486
4.501 1.300 2.223
8.521 1.300 2.223
2.524 4.187 0.497
3.987 -4.187 6.924
2.259 7.400 -1.958
4.251 -0.974 4.470
6.511 6.723 -0.749
6.511 4.187 1.790
4.501 9.675 -2.223
2.010 1.300 4.205
0.000 6.723 0.486
6.511 1.651 5.942
4.501 7.074 2.223
2.010 -1.300 8.650
0.000 4.187 4.637
0.000 1.652 7.177
2.259 9.349 1.958
4.251 0.974 8.385
2.524 12.562 -0.497
3.987 4.187 5.931
-2.010 7.074 4.205
2.010 7.074 4.205
6.511 6.723 5.942
-4.251 9.349 4.470
4.251 9.349 4.470
0.000 6.723 7.177
0.000 12.562 3.143
```

Largest 8 diffraction maxima, by angle, 2θ = 15–90°:
- 2θ 17.3, intensity 100
- 2θ 17.4, intensity 75
- 2θ 19.4, intensity 65
- 2θ 25.3, intensity 34
- 2θ 29.1, intensity 60
- 2θ 32.1, intensity 34
- 2θ 39.5, intensity 27
- 2θ 45.1, intensity 34

=====

This entry pairs a crystal structure of ReP2ICl with its simulated powder diffractogram. Radiation: Cu Ka. Structure: DFT lattice parameters and positions (GGA-PBE).
Neutral-atom scattering factors, no anomalous dispersion.

Structural model:
```
ReP2ICl
1.0
4.691 0.000 0.000
0.000 4.691 0.000
0.000 0.000 4.902
Re P I Cl
1 2 1 1
Cartesian
0.000 0.000 0.000
0.000 2.345 0.000
2.345 0.000 0.000
2.345 2.345 2.451
0.000 0.000 2.451
```

Largest 8 diffraction maxima, by angle, 2θ = 15–90°:
- 2θ 26.3, intensity 100
- 2θ 26.9, intensity 51
- 2θ 36.7, intensity 23
- 2θ 38.4, intensity 41
- 2θ 46.0, intensity 24
- 2θ 47.1, intensity 42
- 2θ 54.1, intensity 30
- 2θ 68.3, intensity 15

=====

This entry pairs a crystal structure of Sr2PICl with its simulated powder diffractogram. Radiation: Cu Ka. Structure: DFT lattice parameters and positions (GGA-PBE).
Neutral-atom scattering factors, no anomalous dispersion.

Structural model:
```
Sr2PICl
1.0
5.731 0.000 0.000
0.000 5.731 0.000
0.000 0.000 5.857
Sr P I Cl
2 1 1 1
Cartesian
0.000 2.866 0.000
2.866 0.000 0.000
0.000 0.000 2.929
2.866 2.866 2.929
2.866 2.866 0.000
```

Largest 8 diffraction maxima, by angle, 2θ = 15–90°:
- 2θ 15.5, intensity 36
- 2θ 26.7, intensity 100
- 2θ 30.5, intensity 28
- 2θ 31.2, intensity 52
- 2θ 44.2, intensity 38
- 2θ 44.7, intensity 19
- 2θ 52.9, intensity 30
- 2θ 55.1, intensity 20

=====

This entry pairs a crystal structure of Pa3I7Cl with its simulated powder diffractogram. Radiation: Cu Ka. Structure: DFT lattice parameters and positions (GGA-PBE).
Neutral-atom scattering factors, no anomalous dispersion.

Structural model:
```
Pa3I7Cl
1.0
8.192 0.000 0.000
-4.096 7.095 0.000
0.000 0.000 8.056
Pa I Cl
3 7 1
Cartesian
0.000 2.480 0.000
-1.949 5.855 0.000
1.949 5.855 0.000
0.000 0.000 6.083
2.095 1.210 1.918
4.096 0.058 6.045
2.098 3.518 6.045
6.097 1.210 1.918
4.096 4.675 1.918
6.094 3.518 6.045
0.000 4.730 1.734
```

Largest 8 diffraction maxima, by angle, 2θ = 15–90°:
- 2θ 16.7, intensity 18
- 2θ 27.5, intensity 100
- 2θ 33.7, intensity 71
- 2θ 42.2, intensity 34
- 2θ 44.2, intensity 32
- 2θ 52.9, intensity 16
- 2θ 56.7, intensity 16
- 2θ 64.9, intensity 20

=====

This entry pairs a crystal structure of Pb2I3Cl with its simulated powder diffractogram. Radiation: Cu Ka. Structure: DFT lattice parameters and positions (GGA-PBE).
Neutral-atom scattering factors, no anomalous dispersion.

Structural model:
```
Pb2I3Cl
1.0
9.214 -2.347 0.000
9.214 2.347 0.000
-5.974 0.000 11.297
Pb I Cl
4 6 2
Cartesian
-0.522 0.000 4.946
5.641 0.000 1.975
6.813 0.000 9.322
12.976 0.000 6.351
2.778 0.000 0.080
2.712 0.000 4.265
3.674 0.000 8.640
8.780 0.000 2.657
9.742 0.000 7.032
9.675 0.000 11.216
-2.560 0.000 7.357
15.014 0.000 3.939
```

Largest 8 diffraction maxima, by angle, 2θ = 15–90°:
- 2θ 21.8, intensity 45
- 2θ 22.1, intensity 100
- 2θ 23.6, intensity 60
- 2θ 26.8, intensity 87
- 2θ 28.9, intensity 90
- 2θ 34.0, intensity 69
- 2θ 37.4, intensity 61
- 2θ 38.4, intensity 62

=====

This entry pairs a crystal structure of PbICl with its simulated powder diffractogram. Radiation: Cu Ka. Structure: DFT lattice parameters and positions (GGA-PBE).
Neutral-atom scattering factors, no anomalous dispersion.

Structural model:
```
PbICl
1.0
4.504 0.000 0.000
0.000 7.779 0.000
-2.201 -3.160 7.290
Pb I Cl
2 2 2
Cartesian
0.000 0.000 0.000
2.252 3.889 0.000
0.000 5.163 1.986
2.303 -0.545 5.304
0.051 3.309 5.892
2.252 1.309 1.398
```

Largest 8 diffraction maxima, by angle, 2θ = 15–90°:
- 2θ 25.3, intensity 93
- 2θ 25.5, intensity 94
- 2θ 27.1, intensity 100
- 2θ 32.7, intensity 39
- 2θ 32.9, intensity 37
- 2θ 34.6, intensity 36
- 2θ 40.3, intensity 61
- 2θ 41.9, intensity 38

=====

This entry pairs a crystal structure of Pb2I3Cl with its simulated powder diffractogram. Radiation: Cu Ka. Structure: DFT lattice parameters and positions (GGA-PBE).
Neutral-atom scattering factors, no anomalous dispersion.

Structural model:
```
Pb2I3Cl
1.0
9.140 0.000 0.000
-4.570 7.916 0.000
0.000 0.000 7.570
Pb I Cl
4 6 2
Cartesian
0.000 0.000 0.000
-2.285 3.958 0.000
4.570 0.000 0.000
2.285 3.958 0.000
0.000 2.621 1.931
-2.300 6.605 1.931
2.270 1.311 5.640
2.300 6.605 1.931
6.870 1.311 5.640
4.570 5.294 5.640
0.000 5.277 6.231
4.570 2.639 1.339
```

Largest 8 diffraction maxima, by angle, 2θ = 15–90°:
- 2θ 25.4, intensity 100
- 2θ 32.7, intensity 66
- 2θ 39.4, intensity 37
- 2θ 41.3, intensity 17
- 2θ 42.5, intensity 24
- 2θ 47.5, intensity 19
- 2θ 52.2, intensity 18
- 2θ 67.3, intensity 17